Starting from DFT lattice parameters and positions (GGA-PBE), the powder X-ray diffraction pattern of Mg8CdSn6 was calculated for λ = 1.5418 Å (Cu Kα).
Lines closer than 0.1° are merged.

Main lines, in order of rising 2θ (2θ from 10° to 90°):
two_theta  I (rel.)
21.28  22
25.25  100
34.68  79
37.30  78
45.58  21
46.71  47
51.84  25
65.59  25

Crystal structure
Unit cell a=8.164 b=8.164 c=8.164 alpha=61.53 beta=61.53 gamma=61.53
Atoms (fractional coordinates):
1 Mg 0.058 0.716 0.385
2 Mg 0.167 0.167 0.167
3 Mg 0.284 0.615 0.942
4 Mg 0.385 0.058 0.716
5 Mg 0.615 0.942 0.284
6 Mg 0.716 0.385 0.058
7 Mg 0.833 0.833 0.833
8 Mg 0.942 0.284 0.615
9 Cd 0.500 0.500 0.500
10 Sn 0.094 0.431 0.767
11 Sn 0.233 0.906 0.569
12 Sn 0.431 0.767 0.094
13 Sn 0.569 0.233 0.906
14 Sn 0.767 0.094 0.431
15 Sn 0.906 0.569 0.233